Structure and simulated powder XRD pattern of Mn8O13F3 (a DFT-relaxed cell (PBE+U, the Materials Project); Cu Ka).
Intensities are scaled so that the largest is 100.

Atomic structure:
```
data_Mn8O13F3
_chemical_formula_sum 'Mn8 O13 F3'
_space_group_name_H-M_alt 'P 1'
_space_group_IT_number 1
_space_group_name_Hall 'P 1'
_cell_length_a 4.4956
_cell_length_b 4.9714
_cell_length_c 11.0541
_cell_angle_alpha 89.55
_cell_angle_beta 87.76
_cell_angle_gamma 89.42
loop_
_atom_site_label
_atom_site_fract_x
_atom_site_fract_y
_atom_site_fract_z
Mn1 0.0000 0.0000 0.0000
Mn2 0.0025 0.4787 0.1575
Mn3 0.0082 0.9814 0.5074
Mn4 0.4817 0.9791 0.2414
Mn5 0.4841 0.4975 0.3988
Mn6 0.4879 0.4807 0.9005
Mn7 0.5010 0.9697 0.7517
Mn8 0.9722 0.4860 0.6394
O1 0.2167 0.3172 0.0182
O2 0.2189 0.8049 0.6298
O3 0.2188 0.8119 0.1284
O4 0.2235 0.3140 0.5179
O5 0.2541 0.8135 0.8795
O6 0.2596 0.8207 0.3813
O7 0.2666 0.3129 0.2691
O8 0.7157 0.1506 0.8788
O9 0.7207 0.6471 0.7662
O10 0.7231 0.6579 0.2687
O11 0.7527 0.1541 0.6284
O12 0.7608 0.1620 0.1304
O13 0.7643 0.6627 0.5178
F1 0.2386 0.3019 0.7578
F2 0.7361 0.1560 0.3854
F3 0.7639 0.6680 0.0214
```

Largest 8 diffraction maxima, in order of falling intensity, 15° ≤ 2θ ≤ 90°:
2θ (°), I (rel.)
31.76, 100
25.06, 63
26.05, 54
30.75, 52
31.12, 45
54.63, 33
54.82, 25
37.13, 23

***

Structure and simulated powder XRD pattern of Mn6OF11 (a DFT-relaxed cell (PBE+U, the Materials Project); Cu Ka).
Intensities are scaled so that the largest is 100.

Atomic structure:
```
data_Mn6OF11
_chemical_formula_sum 'Mn12 O2 F22'
_space_group_name_H-M_alt 'P 1'
_space_group_IT_number 1
_space_group_name_Hall 'P 1'
_cell_length_a 4.9678
_cell_length_b 5.8886
_cell_length_c 16.1794
_cell_angle_alpha 89.67
_cell_angle_beta 89.82
_cell_angle_gamma 89.86
loop_
_atom_site_label
_atom_site_fract_x
_atom_site_fract_y
_atom_site_fract_z
Mn1 0.0000 0.0000 0.0000
Mn2 0.9998 0.3419 0.1670
Mn3 0.0041 0.3413 0.8304
Mn4 0.0183 0.3568 0.4873
Mn5 0.0259 0.9893 0.3271
Mn6 0.4794 0.5270 0.3335
Mn7 0.4858 0.8362 0.1712
Mn8 0.4990 0.8230 0.4921
Mn9 0.5021 0.5037 0.9984
Mn10 0.5032 0.4995 0.6619
Mn11 0.5029 0.8449 0.8295
Mn12 0.9968 0.0049 0.6585
O1 0.2873 0.7649 0.2790
O2 0.3005 0.5750 0.4388
F1 0.2225 0.2826 0.6034
F2 0.2308 0.0676 0.7702
F3 0.2318 0.0692 0.4411
F4 0.2351 0.0671 0.1084
F5 0.2346 0.2755 0.9403
F6 0.2378 0.2703 0.2746
F7 0.2661 0.5671 0.1074
F8 0.2710 0.7771 0.9402
F9 0.2749 0.5680 0.7721
F10 0.2823 0.7819 0.6031
F11 0.7161 0.5483 0.2291
F12 0.7230 0.7804 0.0610
F13 0.7344 0.5697 0.8883
F14 0.7355 0.7760 0.7192
F15 0.7476 0.5656 0.5536
F16 0.7517 0.7950 0.3919
F17 0.7578 0.0580 0.5461
F18 0.7610 0.3012 0.3803
F19 0.7702 0.2738 0.7204
F20 0.7727 0.0671 0.8891
F21 0.7770 0.2816 0.0557
F22 0.7811 0.0548 0.2201
```

Largest 8 diffraction maxima, in order of falling intensity, 15° ≤ 2θ ≤ 90°:
2θ (°), I (rel.)
28.79, 100
23.43, 51
28.65, 34
51.05, 32
49.86, 26
50.00, 25
60.48, 14
60.61, 12

***

Structure and simulated powder XRD pattern of Mn6O7F5 (a DFT-relaxed cell (PBE+U, the Materials Project); Cu Ka).
Intensities are scaled so that the largest is 100.

Atomic structure:
```
data_Mn6O7F5
_chemical_formula_sum 'Mn12 O14 F10'
_space_group_name_H-M_alt 'P 1'
_space_group_IT_number 1
_space_group_name_Hall 'P 1'
_cell_length_a 4.6227
_cell_length_b 5.6852
_cell_length_c 15.2982
_cell_angle_alpha 89.94
_cell_angle_beta 89.74
_cell_angle_gamma 87.78
loop_
_atom_site_label
_atom_site_fract_x
_atom_site_fract_y
_atom_site_fract_z
Mn1 0.0000 0.0000 0.0000
Mn2 0.0008 0.3295 0.4911
Mn3 0.0029 0.0141 0.6558
Mn4 0.0103 0.3414 0.8240
Mn5 0.0238 0.0137 0.3275
Mn6 0.5000 0.7914 0.8373
Mn7 0.5193 0.5185 0.3350
Mn8 0.5208 0.8029 0.5073
Mn9 0.5219 0.5123 0.6648
Mn10 0.5355 0.5300 0.0012
Mn11 0.5408 0.8163 0.1735
Mn12 0.9774 0.3192 0.1634
O1 0.2901 0.7725 0.9437
O2 0.2999 0.5578 0.4433
O3 0.3000 0.7871 0.6108
O4 0.3025 0.5468 0.7743
O5 0.3056 0.7891 0.2776
O6 0.7360 0.7727 0.0614
O7 0.7417 0.5590 0.8934
O8 0.7472 0.5523 0.2255
O9 0.7469 0.5620 0.5591
O10 0.7852 0.0520 0.5493
O11 0.7847 0.2844 0.0560
O12 0.7984 0.2804 0.7141
O13 0.7998 0.0546 0.2206
O14 0.8065 0.2859 0.3835
F1 0.2445 0.2883 0.5961
F2 0.2481 0.2954 0.2636
F3 0.2530 0.0360 0.7738
F4 0.2549 0.2818 0.9419
F5 0.2636 0.0514 0.1135
F6 0.2716 0.0423 0.4381
F7 0.2751 0.5447 0.1076
F8 0.7594 0.7866 0.7341
F9 0.7622 0.7876 0.4000
F10 0.7741 0.0556 0.8821
```

Largest 8 diffraction maxima, in order of falling intensity, 15° ≤ 2θ ≤ 90°:
2θ (°), I (rel.)
30.88, 100
24.36, 64
25.32, 55
30.03, 53
30.15, 51
53.37, 45
36.20, 43
63.81, 40

***

Structure and simulated powder XRD pattern of Mn12O5F19 (a DFT-relaxed cell (PBE+U, the Materials Project); Cu Ka).
Intensities are scaled so that the largest is 100.

Atomic structure:
```
data_Mn12O5F19
_chemical_formula_sum 'Mn12 O5 F19'
_space_group_name_H-M_alt 'P 1'
_space_group_IT_number 1
_space_group_name_Hall 'P 1'
_cell_length_a 4.8454
_cell_length_b 5.8021
_cell_length_c 16.0745
_cell_angle_alpha 89.70
_cell_angle_beta 89.90
_cell_angle_gamma 87.61
loop_
_atom_site_label
_atom_site_fract_x
_atom_site_fract_y
_atom_site_fract_z
Mn1 0.0000 0.0000 0.0000
Mn2 0.0033 0.6862 0.5030
Mn3 0.0114 0.6842 0.8280
Mn4 0.0227 0.6735 0.1571
Mn5 0.0298 0.9884 0.6657
Mn6 0.4773 0.1521 0.5080
Mn7 0.4860 0.5108 0.6718
Mn8 0.4971 0.4980 0.0018
Mn9 0.5141 0.1754 0.1752
Mn10 0.5220 0.4893 0.3345
Mn11 0.5282 0.1788 0.8443
Mn12 0.9904 0.0114 0.3303
O1 0.2033 0.9413 0.5616
O2 0.2229 0.7340 0.7212
O3 0.2243 0.7304 0.0457
O4 0.7244 0.2308 0.9559
O5 0.7263 0.2407 0.2849
F1 0.2115 0.9669 0.8896
F2 0.2189 0.9519 0.2224
F3 0.2400 0.7307 0.3868
F4 0.2538 0.2335 0.0645
F5 0.2644 0.2354 0.3934
F6 0.2643 0.4386 0.5610
F7 0.2697 0.4595 0.2306
F8 0.2764 0.4609 0.8950
F9 0.2797 0.2383 0.7314
F10 0.7082 0.4664 0.1106
F11 0.7285 0.4578 0.4496
F12 0.7296 0.4580 0.7813
F13 0.7391 0.2248 0.6194
F14 0.7416 0.7215 0.6094
F15 0.7576 0.7346 0.9354
F16 0.7589 0.9490 0.4399
F17 0.7690 0.7304 0.2727
F18 0.7749 0.9555 0.1058
F19 0.7840 0.9682 0.7693
```

Largest 8 diffraction maxima, in order of falling intensity, 15° ≤ 2θ ≤ 90°:
2θ (°), I (rel.)
29.66, 100
28.77, 55
28.90, 55
23.45, 50
50.84, 50
24.44, 43
53.12, 33
38.40, 22

***

Structure and simulated powder XRD pattern of Mn3O4F2 (a DFT-relaxed cell (PBE+U, the Materials Project); Cu Ka).
Intensities are scaled so that the largest is 100.

Atomic structure:
```
data_Mn3O4F2
_chemical_formula_sum 'Mn6 O8 F4'
_space_group_name_H-M_alt 'P -1'
_space_group_IT_number 2
_space_group_name_Hall '-P 1'
_cell_length_a 4.6601
_cell_length_b 5.5317
_cell_length_c 7.6606
_cell_angle_alpha 85.24
_cell_angle_beta 86.91
_cell_angle_gamma 86.26
loop_
_atom_site_label
_atom_site_fract_x
_atom_site_fract_y
_atom_site_fract_z
Mn1 0.0000 0.0000 0.0000
Mn2 0.0167 0.6801 0.3366
Mn3 0.4742 0.1508 0.3240
Mn4 0.5000 0.5000 0.0000
O1 0.1932 0.9636 0.2270
O2 0.3012 0.4617 0.2311
O3 0.3076 0.1301 0.5652
O4 0.3084 0.7997 0.8970
F1 0.1985 0.2990 0.9028
F2 0.1999 0.6221 0.5784
```

Largest 8 diffraction maxima, in order of falling intensity, 15° ≤ 2θ ≤ 90°:
2θ (°), I (rel.)
26.02, 100
28.27, 96
35.33, 55
35.54, 48
52.49, 31
52.03, 31
54.80, 27
67.86, 20

***

Structure and simulated powder XRD pattern of Mn12O5F19 (a DFT-relaxed cell (PBE+U, the Materials Project); Cu Ka).
Intensities are scaled so that the largest is 100.

Atomic structure:
```
data_Mn12O5F19
_chemical_formula_sum 'Mn12 O5 F19'
_space_group_name_H-M_alt 'P 1'
_space_group_IT_number 1
_space_group_name_Hall 'P 1'
_cell_length_a 4.8559
_cell_length_b 5.8185
_cell_length_c 16.0560
_cell_angle_alpha 89.57
_cell_angle_beta 89.67
_cell_angle_gamma 86.43
loop_
_atom_site_label
_atom_site_fract_x
_atom_site_fract_y
_atom_site_fract_z
Mn1 0.0000 0.0000 0.0000
Mn2 0.0003 0.3134 0.4853
Mn3 0.0091 0.3233 0.8340
Mn4 0.0187 0.3180 0.1563
Mn5 0.0214 0.9901 0.3288
Mn6 0.0365 0.9802 0.6622
Mn7 0.5030 0.4959 0.6608
Mn8 0.5041 0.8128 0.1753
Mn9 0.5137 0.8189 0.5047
Mn10 0.5222 0.4893 0.3321
Mn11 0.5306 0.7971 0.8348
Mn12 0.5490 0.4848 0.9966
O1 0.2988 0.7591 0.2836
O2 0.3008 0.7518 0.6135
O3 0.7352 0.5355 0.8941
O4 0.7973 0.2578 0.3765
O5 0.8045 0.2696 0.0499
F1 0.2495 0.0323 0.4342
F2 0.2529 0.2566 0.6024
F3 0.2537 0.0305 0.1057
F4 0.2559 0.0389 0.7776
F5 0.2585 0.2467 0.9406
F6 0.2649 0.2610 0.2655
F7 0.2808 0.7562 0.9501
F8 0.2907 0.5359 0.7739
F9 0.3129 0.5244 0.4419
F10 0.3187 0.5271 0.1028
F11 0.7513 0.5315 0.2249
F12 0.7541 0.7724 0.0641
F13 0.7582 0.5302 0.5590
F14 0.7618 0.7524 0.7229
F15 0.7667 0.7559 0.3940
F16 0.7824 0.2588 0.7163
F17 0.7962 0.0315 0.8854
F18 0.8034 0.0384 0.5534
F19 0.8110 0.0285 0.2197
```

Largest 8 diffraction maxima, in order of falling intensity, 15° ≤ 2θ ≤ 90°:
2θ (°), I (rel.)
29.84, 100
28.49, 58
23.16, 55
28.73, 54
50.67, 48
24.65, 43
53.56, 33
50.98, 25

***

Structure and simulated powder XRD pattern of Mn3O4F2 (a DFT-relaxed cell (PBE+U, the Materials Project); Cu Ka).
Intensities are scaled so that the largest is 100.

Atomic structure:
```
data_Mn3O4F2
_chemical_formula_sum 'Mn6 O8 F4'
_space_group_name_H-M_alt 'P 42/m n m'
_space_group_IT_number 136
_space_group_name_Hall '-P 4n 2n'
_cell_length_a 4.6518
_cell_length_b 4.6518
_cell_length_c 9.1783
_cell_angle_alpha 90.00
_cell_angle_beta 90.00
_cell_angle_gamma 90.00
loop_
_atom_site_label
_atom_site_fract_x
_atom_site_fract_y
_atom_site_fract_z
Mn1 0.0000 0.0000 0.0000
Mn2 0.0000 0.0000 0.3184
O1 0.1946 0.1946 0.1650
F1 0.1817 0.1817 0.5000
```

Largest 8 diffraction maxima, in order of falling intensity, 15° ≤ 2θ ≤ 90°:
2θ (°), I (rel.)
27.11, 100
53.25, 58
35.11, 45
67.75, 21
55.91, 16
40.26, 15
67.53, 10
38.71, 9

***

Structure and simulated powder XRD pattern of Mn6O7F5 (a DFT-relaxed cell (PBE+U, the Materials Project); Cu Ka).
Intensities are scaled so that the largest is 100.

Atomic structure:
```
data_Mn6O7F5
_chemical_formula_sum 'Mn12 O14 F10'
_space_group_name_H-M_alt 'P 1'
_space_group_IT_number 1
_space_group_name_Hall 'P 1'
_cell_length_a 4.6368
_cell_length_b 5.6457
_cell_length_c 15.3430
_cell_angle_alpha 89.93
_cell_angle_beta 89.51
_cell_angle_gamma 88.61
loop_
_atom_site_label
_atom_site_fract_x
_atom_site_fract_y
_atom_site_fract_z
Mn1 0.0000 0.0000 0.0000
Mn2 0.0002 0.2867 0.1683
Mn3 0.0043 0.2930 0.4962
Mn4 0.4297 0.4940 0.0071
Mn5 0.4390 0.7979 0.5084
Mn6 0.4682 0.4711 0.6704
Mn7 0.4744 0.8153 0.1756
Mn8 0.4752 0.8214 0.8406
Mn9 0.4942 0.4941 0.3437
Mn10 0.9696 0.2667 0.8364
Mn11 0.9900 0.9918 0.3353
Mn12 0.9994 0.0083 0.6696
O1 0.1918 0.2504 0.9425
O2 0.2008 0.2483 0.6081
O3 0.2082 0.0396 0.7766
O4 0.2089 0.0277 0.4456
O5 0.2090 0.0454 0.1052
O6 0.2499 0.7599 0.6168
O7 0.2511 0.7648 0.9523
O8 0.2618 0.5327 0.4512
O9 0.2617 0.5385 0.1200
O10 0.2736 0.7560 0.2863
O11 0.7569 0.2481 0.7282
O12 0.7696 0.0255 0.8949
O13 0.7721 0.0310 0.2260
O14 0.7743 0.2667 0.3924
F1 0.2292 0.5255 0.7889
F2 0.2530 0.2543 0.2787
F3 0.7019 0.5138 0.8933
F4 0.7109 0.7745 0.4068
F5 0.7244 0.7569 0.7260
F6 0.7292 0.2625 0.0534
F7 0.7288 0.5286 0.5561
F8 0.7300 0.7730 0.0601
F9 0.7393 0.0236 0.5630
F10 0.7445 0.5238 0.2312
```

Largest 8 diffraction maxima, in order of falling intensity, 15° ≤ 2θ ≤ 90°:
2θ (°), I (rel.)
24.55, 100
25.16, 93
30.11, 93
30.63, 91
30.32, 84
30.80, 80
53.55, 71
36.36, 68